This entry pairs a crystal structure of LiPr2Ge with its computed X-ray powder pattern. Radiation: Cu Ka. Structure: a cell relaxed with GGA-PBE.

Structure:
a = 4.9719 Å, b = 4.9719 Å, c = 4.1572 Å
α = 90.00°, β = 90.00°, γ = 90.00°
Sites, in units of the cell vectors:
Li  0.0000  0.0000  0.0000
Pr  0.0000  0.5000  0.5000
Pr  0.5000  0.0000  0.5000
Ge  0.5000  0.5000  0.0000

Principal peaks in the range 5° ≤ 2θ ≤ 70°, sorted by position:
2θ = 21.37°, rel. 23.8
2θ = 25.33°, rel. 31.6
2θ = 33.38°, rel. 100.0
2θ = 36.13°, rel. 40.3
2θ = 42.36°, rel. 16.1
2θ = 52.02°, rel. 14.2
2θ = 57.82°, rel. 20.5
2θ = 63.23°, rel. 31.3



This entry pairs a crystal structure of Mg2Br3 with its computed X-ray powder pattern. Radiation: Cu Ka. Structure: a cell relaxed with GGA-PBE.

Structure:
a = 4.1242 Å, b = 4.1242 Å, c = 31.6900 Å
α = 90.00°, β = 90.00°, γ = 120.00°
Sites, in units of the cell vectors:
Mg  0.0000  0.0000  0.1098
Mg  0.0000  0.0000  0.8902
Mg  0.3333  0.6667  0.5569
Mg  0.3333  0.6667  0.7764
Mg  0.6667  0.3333  0.2236
Mg  0.6667  0.3333  0.4431
Br  0.0000  0.0000  0.2665
Br  0.0000  0.0000  0.5000
Br  0.0000  0.0000  0.7335
Br  0.3333  0.6667  0.1667
Br  0.3333  0.6667  0.4001
Br  0.3333  0.6667  0.9332
Br  0.6667  0.3333  0.0668
Br  0.6667  0.3333  0.5999
Br  0.6667  0.3333  0.8333

Principal peaks in the range 5° ≤ 2θ ≤ 70°, sorted by position:
2θ = 8.37°, rel. 42.0
2θ = 25.29°, rel. 26.8
2θ = 27.39°, rel. 84.5
2θ = 28.69°, rel. 100.0
2θ = 33.79°, rel. 75.0
2θ = 43.91°, rel. 59.4
2θ = 45.03°, rel. 51.7
2θ = 51.35°, rel. 22.2



This entry pairs a crystal structure of DyTh12Sc6 with its computed X-ray powder pattern. Radiation: Cu Ka. Structure: a cell relaxed with GGA-PBE.

Structure:
a = 9.0454 Å, b = 9.0454 Å, c = 9.0454 Å
α = 109.47°, β = 109.47°, γ = 109.47°
Sites, in units of the cell vectors:
Dy  0.0000  0.0000  0.0000
Th  0.0846  0.2684  0.8162
Th  0.1838  0.4522  0.2684
Th  0.1838  0.9154  0.7316
Th  0.2684  0.1838  0.4522
Th  0.2684  0.8162  0.0846
Th  0.4522  0.2684  0.1838
Th  0.5478  0.7316  0.8162
Th  0.7316  0.1838  0.9154
Th  0.7316  0.8162  0.5478
Th  0.8162  0.0846  0.2684
Th  0.8162  0.5478  0.7316
Th  0.9154  0.7316  0.1838
Sc  0.1468  0.5000  0.6468
Sc  0.3532  0.8532  0.5000
Sc  0.5000  0.3532  0.8532
Sc  0.5000  0.6468  0.1468
Sc  0.6468  0.1468  0.5000
Sc  0.8532  0.5000  0.3532

Principal peaks in the range 5° ≤ 2θ ≤ 70°, sorted by position:
2θ = 24.10°, rel. 24.0
2θ = 27.00°, rel. 33.5
2θ = 29.63°, rel. 70.4
2θ = 32.06°, rel. 100.0
2θ = 34.34°, rel. 37.3
2θ = 38.55°, rel. 30.9
2θ = 50.98°, rel. 33.5
2θ = 54.13°, rel. 36.3



This entry pairs a crystal structure of PmSn8Ru2 with its computed X-ray powder pattern. Radiation: Cu Ka. Structure: a cell relaxed with GGA-PBE.

Structure:
a = 6.4277 Å, b = 6.4277 Å, c = 7.6763 Å
α = 90.00°, β = 90.00°, γ = 90.00°
Sites, in units of the cell vectors:
Pm  0.0000  0.0000  0.0000
Sn  0.2548  0.2548  0.2943
Sn  0.2548  0.2548  0.7057
Sn  0.2548  0.7452  0.2943
Sn  0.2548  0.7452  0.7057
Sn  0.7452  0.2548  0.2943
Sn  0.7452  0.2548  0.7057
Sn  0.7452  0.7452  0.2943
Sn  0.7452  0.7452  0.7057
Ru  0.0000  0.5000  0.5000
Ru  0.5000  0.0000  0.5000

Principal peaks in the range 5° ≤ 2θ ≤ 70°, sorted by position:
2θ = 11.53°, rel. 30.4
2θ = 22.74°, rel. 30.7
2θ = 27.76°, rel. 27.6
2θ = 36.46°, rel. 100.0
2θ = 39.66°, rel. 50.2
2θ = 45.30°, rel. 24.1
2θ = 57.34°, rel. 17.3
2θ = 69.88°, rel. 30.7



This entry pairs a crystal structure of Y2Si2O7 with its computed X-ray powder pattern. Radiation: Cu Ka. Structure: a cell relaxed with GGA-PBE.

Structure:
a = 13.8407 Å, b = 8.2200 Å, c = 5.0950 Å
α = 90.00°, β = 90.00°, γ = 90.00°
Sites, in units of the cell vectors:
Y  0.1256  0.0094  0.1580
Y  0.1256  0.4906  0.1580
Y  0.3744  0.5094  0.6580
Y  0.3744  0.9906  0.6580
Y  0.6256  0.0094  0.3420
Y  0.6256  0.4906  0.3420
Y  0.8744  0.5094  0.8420
Y  0.8744  0.9906  0.8420
Si  0.0400  0.7500  0.6256
Si  0.1812  0.2500  0.6205
Si  0.3188  0.7500  0.1205
Si  0.4600  0.2500  0.1256
Si  0.5400  0.7500  0.8744
Si  0.6812  0.2500  0.8795
Si  0.8188  0.7500  0.3795
Si  0.9600  0.2500  0.3744
O  0.0470  0.5815  0.7931
O  0.0470  0.9185  0.7931
O  0.0804  0.2500  0.4354
O  0.0996  0.7500  0.3495
O  0.1551  0.2500  0.9310
O  0.2327  0.0853  0.5107
O  0.2327  0.4147  0.5107
O  0.2673  0.5853  0.0107
O  0.2673  0.9147  0.0107
O  0.3449  0.7500  0.4310
O  0.4004  0.2500  0.8495
O  0.4196  0.7500  0.9354
O  0.4530  0.0815  0.2931
O  0.4530  0.4185  0.2931
O  0.5470  0.5815  0.7069
O  0.5470  0.9185  0.7069
O  0.5804  0.2500  0.0646
O  0.5996  0.7500  0.1505
O  0.6551  0.2500  0.5690
O  0.7327  0.0853  0.9893
O  0.7327  0.4147  0.9893
O  0.7673  0.5853  0.4893
O  0.7673  0.9147  0.4893
O  0.8449  0.7500  0.0690
O  0.9004  0.2500  0.6505
O  0.9196  0.7500  0.5646
O  0.9530  0.0815  0.2069
O  0.9530  0.4185  0.2069

Principal peaks in the range 5° ≤ 2θ ≤ 70°, sorted by position:
2θ = 21.65°, rel. 100.0
2θ = 25.75°, rel. 42.5
2θ = 28.64°, rel. 66.1
2θ = 30.79°, rel. 98.5
2θ = 33.86°, rel. 29.9
2θ = 43.04°, rel. 38.0
2θ = 44.08°, rel. 28.4
2θ = 49.63°, rel. 29.4



This entry pairs a crystal structure of ThCo4 with its computed X-ray powder pattern. Radiation: Cu Ka. Structure: a cell relaxed with GGA-PBE.

Structure:
a = 5.7259 Å, b = 5.7259 Å, c = 5.4348 Å
α = 90.00°, β = 90.00°, γ = 121.45°
Sites, in units of the cell vectors:
Th  0.2429  0.7571  0.7500
Th  0.7571  0.2429  0.2500
Co  0.1128  0.8872  0.2500
Co  0.2781  0.2781  0.0000
Co  0.2781  0.2781  0.5000
Co  0.3455  0.6545  0.2500
Co  0.6545  0.3455  0.7500
Co  0.7219  0.7219  0.0000
Co  0.7219  0.7219  0.5000
Co  0.8872  0.1128  0.7500

Principal peaks in the range 5° ≤ 2θ ≤ 70°, sorted by position:
2θ = 24.50°, rel. 50.5
2θ = 35.45°, rel. 100.0
2θ = 36.80°, rel. 67.4
2θ = 37.69°, rel. 65.9
2θ = 46.57°, rel. 59.5
2θ = 51.39°, rel. 38.6
2θ = 59.24°, rel. 22.8
2θ = 60.48°, rel. 21.4



This entry pairs a crystal structure of Sr2Ga5Cu with its computed X-ray powder pattern. Radiation: Cu Ka. Structure: a cell relaxed with GGA-PBE.

Structure:
a = 8.8752 Å, b = 8.8752 Å, c = 9.2351 Å
α = 90.00°, β = 90.00°, γ = 150.66°
Sites, in units of the cell vectors:
Sr  0.0000  0.0000  0.0000
Sr  0.0000  0.0000  0.5000
Sr  0.2032  0.7968  0.7500
Sr  0.7968  0.2032  0.2500
Ga  0.1882  0.8118  0.1060
Ga  0.1882  0.8118  0.3940
Ga  0.3562  0.6438  0.0227
Ga  0.3562  0.6438  0.4773
Ga  0.4169  0.5831  0.7500
Ga  0.5831  0.4169  0.2500
Ga  0.6438  0.3562  0.5227
Ga  0.6438  0.3562  0.9773
Ga  0.8118  0.1882  0.6060
Ga  0.8118  0.1882  0.8940
Cu  0.4380  0.5620  0.2500
Cu  0.5620  0.4380  0.7500

Principal peaks in the range 5° ≤ 2θ ≤ 70°, sorted by position:
2θ = 28.19°, rel. 21.5
2θ = 31.88°, rel. 90.1
2θ = 32.82°, rel. 100.0
2θ = 35.74°, rel. 59.8
2θ = 36.95°, rel. 36.6
2θ = 40.12°, rel. 57.2
2θ = 43.15°, rel. 24.8
2θ = 55.68°, rel. 21.6